[1]
Starting from a crystal structure in Alexandria, relaxed with PBE, the PXRD pattern of Ce2ScN2Cl2 was calculated for Cu Ka.
Neutral-atom scattering factors, no anomalous dispersion.

Structural model:
```
data_Ce2ScN2Cl2
_cell_length_a 4.247
_cell_length_b 4.247
_cell_length_c 14.897
_cell_angle_alpha 90.00
_cell_angle_beta 90.00
_cell_angle_gamma 90.00
_space_group_name_H-M_alt 'P 1'
_space_group_IT_number 1
loop_
_space_group_symop_operation_xyz
'x,y,z'
loop_
_atom_site_label
_atom_site_type_symbol
_atom_site_fract_x
_atom_site_fract_y
_atom_site_fract_z
_atom_site_occupancy
Ce1 Ce 0.000 0.000 0.100 1
Ce2 Ce 0.000 0.000 0.900 1
Ce3 Ce 0.500 0.500 0.400 1
Ce4 Ce 0.500 0.500 0.600 1
Sc1 Sc 0.000 0.000 0.500 1
Sc2 Sc 0.500 0.500 0.000 1
N1 N 0.000 0.500 0.000 1
N2 N 0.000 0.500 0.500 1
N3 N 0.500 0.000 0.000 1
N4 N 0.500 0.000 0.500 1
Cl1 Cl 0.000 0.000 0.317 1
Cl2 Cl 0.000 0.000 0.683 1
Cl3 Cl 0.500 0.500 0.183 1
Cl4 Cl 0.500 0.500 0.817 1
```

Largest 10 diffraction maxima, by angle, 2θ from 5° to 70°:
two_theta	d (Å)	Rel. int.
11.88	7.448	341
21.76	4.085	574
23.89	3.724	130
29.75	3.003	820
36.85	2.439	1000
38.51	2.338	278
42.57	2.124	392
48.30	1.884	152
57.54	1.602	525
61.78	1.502	122

=====

[2]
Starting from a crystal structure in Alexandria, relaxed with PBE, the PXRD pattern of Tb4ScTl2 was calculated for Cu Ka.
Neutral-atom scattering factors, no anomalous dispersion.

Structural model:
```
data_Tb4ScTl2
_cell_length_a 9.231
_cell_length_b 9.231
_cell_length_c 9.231
_cell_angle_alpha 34.23
_cell_angle_beta 34.23
_cell_angle_gamma 34.23
_space_group_name_H-M_alt 'P 1'
_space_group_IT_number 1
loop_
_space_group_symop_operation_xyz
'x,y,z'
loop_
_atom_site_label
_atom_site_type_symbol
_atom_site_fract_x
_atom_site_fract_y
_atom_site_fract_z
_atom_site_occupancy
Tb1 Tb 0.131 0.131 0.131 1
Tb2 Tb 0.269 0.269 0.269 1
Tb3 Tb 0.731 0.731 0.731 1
Tb4 Tb 0.869 0.869 0.869 1
Sc1 Sc 0.500 0.500 0.500 1
Tl1 Tl 0.388 0.388 0.388 1
Tl2 Tl 0.612 0.612 0.612 1
```

Largest 10 diffraction maxima, by angle, 2θ from 5° to 70°:
two_theta	d (Å)	Rel. int.
20.06	4.426	141
23.32	3.814	268
30.63	2.919	153
32.97	2.717	1000
33.47	2.677	593
45.81	1.981	237
47.69	1.907	221
58.87	1.569	192
59.19	1.561	232
63.60	1.463	152

=====

[3]
Starting from a crystal structure in Alexandria, relaxed with PBE, the PXRD pattern of Rb2NbPt was calculated for Cu Ka.
Neutral-atom scattering factors, no anomalous dispersion.

Structural model:
```
data_Rb2NbPt
_cell_length_a 12.664
_cell_length_b 12.664
_cell_length_c 5.076
_cell_angle_alpha 90.00
_cell_angle_beta 90.00
_cell_angle_gamma 90.00
_space_group_name_H-M_alt 'P 1'
_space_group_IT_number 1
loop_
_space_group_symop_operation_xyz
'x,y,z'
loop_
_atom_site_label
_atom_site_type_symbol
_atom_site_fract_x
_atom_site_fract_y
_atom_site_fract_z
_atom_site_occupancy
Rb1 Rb 0.082 0.750 0.125 1
Rb2 Rb 0.250 0.082 0.875 1
Rb3 Rb 0.250 0.418 0.375 1
Rb4 Rb 0.418 0.750 0.625 1
Rb5 Rb 0.582 0.250 0.625 1
Rb6 Rb 0.750 0.582 0.375 1
Rb7 Rb 0.750 0.918 0.875 1
Rb8 Rb 0.918 0.250 0.125 1
Nb1 Nb 0.000 0.000 0.500 1
Nb2 Nb 0.000 0.500 0.750 1
Nb3 Nb 0.500 0.000 0.250 1
Nb4 Nb 0.500 0.500 0.000 1
Pt1 Pt 0.000 0.000 0.000 1
Pt2 Pt 0.000 0.500 0.250 1
Pt3 Pt 0.500 0.000 0.750 1
Pt4 Pt 0.500 0.500 0.500 1
```

Largest 10 diffraction maxima, by angle, 2θ from 5° to 70°:
two_theta	d (Å)	Rel. int.
13.99	6.332	1000
18.83	4.712	341
19.83	4.478	298
22.20	4.005	199
28.19	3.166	355
31.59	2.832	667
34.12	2.628	204
36.80	2.442	285
42.15	2.144	367
51.48	1.775	219

=====

[4]
Starting from a crystal structure in Alexandria, relaxed with PBE, the PXRD pattern of FeSn4H24C8Se10N2 was calculated for Cu Ka.
Neutral-atom scattering factors, no anomalous dispersion.

Structural model:
```
data_FeSn4H24C8Se10N2
_cell_length_a 10.714
_cell_length_b 10.714
_cell_length_c 10.714
_cell_angle_alpha 122.96
_cell_angle_beta 122.96
_cell_angle_gamma 84.95
_space_group_name_H-M_alt 'P 1'
_space_group_IT_number 1
loop_
_space_group_symop_operation_xyz
'x,y,z'
loop_
_atom_site_label
_atom_site_type_symbol
_atom_site_fract_x
_atom_site_fract_y
_atom_site_fract_z
_atom_site_occupancy
Fe1 Fe 0.000 0.000 0.000 1
Sn1 Sn 0.088 0.847 0.621 1
Sn2 Sn 0.153 0.774 0.241 1
Sn3 Sn 0.226 0.467 0.379 1
Sn4 Sn 0.533 0.912 0.759 1
H1 H 0.259 0.412 0.859 1
H2 H 0.316 0.367 0.712 1
H3 H 0.357 0.266 0.814 1
H4 H 0.396 0.684 0.051 1
H5 H 0.452 0.544 0.186 1
H6 H 0.456 0.643 0.908 1
H7 H 0.542 0.062 0.291 1
H8 H 0.552 0.400 0.141 1
H9 H 0.563 0.310 0.345 1
H10 H 0.588 0.448 0.848 1
H11 H 0.597 0.287 0.575 1
H12 H 0.600 0.741 0.152 1
H13 H 0.633 0.345 0.949 1
H14 H 0.655 0.604 0.288 1
H15 H 0.690 0.035 0.253 1
H16 H 0.713 0.022 0.425 1
H17 H 0.713 0.287 0.309 1
H18 H 0.734 0.548 0.092 1
H19 H 0.749 0.458 0.520 1
H20 H 0.771 0.251 0.709 1
H21 H 0.782 0.437 0.747 1
H22 H 0.938 0.229 0.480 1
H23 H 0.965 0.218 0.655 1
H24 H 0.978 0.403 0.691 1
C1 C 0.347 0.377 0.833 1
C2 C 0.487 0.653 0.030 1
C3 C 0.543 0.513 0.167 1
C4 C 0.623 0.457 0.970 1
C5 C 0.667 0.079 0.356 1
C6 C 0.689 0.333 0.412 1
C7 C 0.723 0.311 0.644 1
C8 C 0.921 0.277 0.588 1
Se1 Se 0.048 0.760 0.955 1
Se2 Se 0.058 0.558 0.500 1
Se3 Se 0.130 0.482 0.109 1
Se4 Se 0.240 0.195 0.288 1
Se5 Se 0.373 0.020 0.891 1
Se6 Se 0.442 0.942 0.500 1
Se7 Se 0.518 0.627 0.648 1
Se8 Se 0.805 0.093 0.045 1
Se9 Se 0.907 0.952 0.712 1
Se10 Se 0.980 0.870 0.352 1
N1 N 0.500 0.500 0.000 1
N2 N 0.750 0.250 0.500 1
```

Largest 10 diffraction maxima, by angle, 2θ from 5° to 70°:
two_theta	d (Å)	Rel. int.
10.30	8.589	1000
16.61	5.336	286
20.20	4.395	151
20.68	4.295	211
25.79	3.455	723
29.84	2.994	167
39.38	2.288	152
42.82	2.112	152
44.34	2.043	237
47.68	1.907	174

=====

[5]
Starting from a crystal structure in Alexandria, relaxed with PBE, the PXRD pattern of Sr3Li3Pd2 was calculated for Cu Ka.
Neutral-atom scattering factors, no anomalous dispersion.

Structural model:
```
data_Sr3Li3Pd2
_cell_length_a 6.183
_cell_length_b 6.183
_cell_length_c 17.229
_cell_angle_alpha 90.00
_cell_angle_beta 90.00
_cell_angle_gamma 138.92
_space_group_name_H-M_alt 'P 1'
_space_group_IT_number 1
loop_
_space_group_symop_operation_xyz
'x,y,z'
loop_
_atom_site_label
_atom_site_type_symbol
_atom_site_fract_x
_atom_site_fract_y
_atom_site_fract_z
_atom_site_occupancy
Sr1 Sr 0.057 0.943 0.607 1
Sr2 Sr 0.057 0.943 0.893 1
Sr3 Sr 0.341 0.659 0.750 1
Sr4 Sr 0.659 0.341 0.250 1
Sr5 Sr 0.943 0.057 0.107 1
Sr6 Sr 0.943 0.057 0.393 1
Li1 Li 0.322 0.678 0.533 1
Li2 Li 0.322 0.678 0.967 1
Li3 Li 0.356 0.644 0.250 1
Li4 Li 0.644 0.356 0.750 1
Li5 Li 0.678 0.322 0.033 1
Li6 Li 0.678 0.322 0.467 1
Pd1 Pd 0.235 0.765 0.118 1
Pd2 Pd 0.235 0.765 0.382 1
Pd3 Pd 0.765 0.235 0.618 1
Pd4 Pd 0.765 0.235 0.882 1
```

Largest 10 diffraction maxima, by angle, 2θ from 5° to 70°:
two_theta	d (Å)	Rel. int.
20.62	4.307	824
21.83	4.071	709
26.88	3.317	757
30.23	2.956	914
31.33	2.855	409
31.45	2.845	932
34.12	2.628	397
34.81	2.577	1000
41.63	2.170	434
48.61	1.873	751

=====

[6]
Starting from a crystal structure in Alexandria, relaxed with PBE, the PXRD pattern of Tl5V2Cl12 was calculated for Cu Ka.
Neutral-atom scattering factors, no anomalous dispersion.

Structural model:
```
data_Tl5V2Cl12
_cell_length_a 7.886
_cell_length_b 8.376
_cell_length_c 10.585
_cell_angle_alpha 80.43
_cell_angle_beta 85.14
_cell_angle_gamma 70.05
_space_group_name_H-M_alt 'P 1'
_space_group_IT_number 1
loop_
_space_group_symop_operation_xyz
'x,y,z'
loop_
_atom_site_label
_atom_site_type_symbol
_atom_site_fract_x
_atom_site_fract_y
_atom_site_fract_z
_atom_site_occupancy
Tl1 Tl 0.000 0.000 0.000 1
Tl2 Tl 0.150 0.223 0.464 1
Tl3 Tl 0.496 0.536 0.276 1
Tl4 Tl 0.504 0.464 0.724 1
Tl5 Tl 0.850 0.777 0.536 1
V1 V 0.440 0.128 0.136 1
V2 V 0.560 0.872 0.864 1
Cl1 Cl 0.206 0.374 0.169 1
Cl2 Cl 0.239 0.525 0.509 1
Cl3 Cl 0.260 0.963 0.228 1
Cl4 Cl 0.334 0.139 0.920 1
Cl5 Cl 0.375 0.721 0.957 1
Cl6 Cl 0.434 0.901 0.668 1
Cl7 Cl 0.566 0.099 0.332 1
Cl8 Cl 0.625 0.279 0.043 1
Cl9 Cl 0.666 0.861 0.080 1
Cl10 Cl 0.740 0.037 0.772 1
Cl11 Cl 0.761 0.475 0.491 1
Cl12 Cl 0.794 0.626 0.831 1
```

Largest 10 diffraction maxima, by angle, 2θ from 5° to 70°:
two_theta	d (Å)	Rel. int.
15.16	5.844	328
16.99	5.217	266
19.07	4.654	1000
20.52	4.327	621
21.12	4.206	401
22.18	4.008	540
27.15	3.285	447
29.66	3.012	420
35.13	2.554	323
41.74	2.164	269

=====

[7]
Starting from a crystal structure in Alexandria, relaxed with PBE, the PXRD pattern of Y4SbAs3 was calculated for Cu Ka.
Neutral-atom scattering factors, no anomalous dispersion.

Structural model:
```
data_Y4SbAs3
_cell_length_a 8.401
_cell_length_b 11.858
_cell_length_c 4.183
_cell_angle_alpha 90.00
_cell_angle_beta 90.00
_cell_angle_gamma 90.00
_space_group_name_H-M_alt 'P 1'
_space_group_IT_number 1
loop_
_space_group_symop_operation_xyz
'x,y,z'
loop_
_atom_site_label
_atom_site_type_symbol
_atom_site_fract_x
_atom_site_fract_y
_atom_site_fract_z
_atom_site_occupancy
Y1 Y 0.000 0.245 0.000 1
Y2 Y 0.000 0.755 0.000 1
Y3 Y 0.239 0.000 0.500 1
Y4 Y 0.261 0.500 0.500 1
Y5 Y 0.500 0.255 0.000 1
Y6 Y 0.500 0.745 0.000 1
Y7 Y 0.739 0.500 0.500 1
Y8 Y 0.761 0.000 0.500 1
Sb1 Sb 0.000 0.500 0.000 1
Sb2 Sb 0.500 0.000 0.000 1
As1 As 0.000 0.000 0.000 1
As2 As 0.250 0.250 0.500 1
As3 As 0.250 0.750 0.500 1
As4 As 0.500 0.500 0.000 1
As5 As 0.750 0.250 0.500 1
As6 As 0.750 0.750 0.500 1
```

Largest 10 diffraction maxima, by angle, 2θ from 5° to 70°:
two_theta	d (Å)	Rel. int.
14.94	5.929	7
24.92	3.573	16
30.15	2.964	1000
32.92	2.721	17
43.14	2.097	609
43.26	2.092	122
53.47	1.714	126
53.63	1.709	128
59.94	1.543	7
62.68	1.482	116

=====

[8]
Starting from a crystal structure in Alexandria, relaxed with PBE, the PXRD pattern of NaAlTeO4 was calculated for Cu Ka.
Neutral-atom scattering factors, no anomalous dispersion.

Structural model:
```
data_NaAlTeO4
_cell_length_a 5.451
_cell_length_b 5.451
_cell_length_c 8.123
_cell_angle_alpha 90.00
_cell_angle_beta 90.00
_cell_angle_gamma 90.00
_space_group_name_H-M_alt 'P 1'
_space_group_IT_number 1
loop_
_space_group_symop_operation_xyz
'x,y,z'
loop_
_atom_site_label
_atom_site_type_symbol
_atom_site_fract_x
_atom_site_fract_y
_atom_site_fract_z
_atom_site_occupancy
Na1 Na 0.000 0.000 0.000 1
Na2 Na 0.500 0.500 0.500 1
Al1 Al 0.000 0.500 0.750 1
Al2 Al 0.500 0.000 0.250 1
Te1 Te 0.000 0.000 0.500 1
Te2 Te 0.500 0.500 0.000 1
O1 O 0.162 0.285 0.625 1
O2 O 0.215 0.662 0.875 1
O3 O 0.285 0.838 0.375 1
O4 O 0.338 0.215 0.125 1
O5 O 0.662 0.785 0.125 1
O6 O 0.715 0.162 0.375 1
O7 O 0.785 0.338 0.875 1
O8 O 0.838 0.715 0.625 1
```

Largest 10 diffraction maxima, by angle, 2θ from 5° to 70°:
two_theta	d (Å)	Rel. int.
19.61	4.526	1000
21.88	4.061	202
23.08	3.854	311
32.01	2.796	727
32.86	2.725	167
38.56	2.335	239
39.83	2.263	175
50.37	1.812	164
56.52	1.628	185
58.14	1.587	232

=====

[9]
Starting from a crystal structure in Alexandria, relaxed with PBE, the PXRD pattern of Nd3Ga2Pd7 was calculated for Cu Ka.
Neutral-atom scattering factors, no anomalous dispersion.

Structural model:
```
data_Nd3Ga2Pd7
_cell_length_a 14.372
_cell_length_b 14.372
_cell_length_c 14.372
_cell_angle_alpha 163.53
_cell_angle_beta 163.53
_cell_angle_gamma 23.38
_space_group_name_H-M_alt 'P 1'
_space_group_IT_number 1
loop_
_space_group_symop_operation_xyz
'x,y,z'
loop_
_atom_site_label
_atom_site_type_symbol
_atom_site_fract_x
_atom_site_fract_y
_atom_site_fract_z
_atom_site_occupancy
Nd1 Nd 0.000 0.000 0.000 1
Nd2 Nd 0.175 0.175 0.000 1
Nd3 Nd 0.825 0.825 0.000 1
Ga1 Ga 0.371 0.371 0.000 1
Ga2 Ga 0.629 0.629 0.000 1
Pd1 Pd 0.078 0.578 0.500 1
Pd2 Pd 0.281 0.281 0.000 1
Pd3 Pd 0.422 0.922 0.500 1
Pd4 Pd 0.500 0.500 0.000 1
Pd5 Pd 0.578 0.078 0.500 1
Pd6 Pd 0.719 0.719 0.000 1
Pd7 Pd 0.922 0.422 0.500 1
```

Largest 10 diffraction maxima, by angle, 2θ from 5° to 70°:
two_theta	d (Å)	Rel. int.
6.28	14.074	250
30.70	2.912	222
31.37	2.852	255
36.06	2.491	342
36.31	2.474	1000
40.20	2.243	217
41.55	2.174	321
43.97	2.059	663
62.09	1.495	193
63.94	1.456	214

=====

[10]
Starting from a crystal structure in Alexandria, relaxed with PBE, the PXRD pattern of Ac6SmY4 was calculated for Cu Ka.
Neutral-atom scattering factors, no anomalous dispersion.

Structural model:
```
data_Ac6SmY4
_cell_length_a 5.997
_cell_length_b 5.997
_cell_length_c 27.605
_cell_angle_alpha 90.00
_cell_angle_beta 90.00
_cell_angle_gamma 119.15
_space_group_name_H-M_alt 'P 1'
_space_group_IT_number 1
loop_
_space_group_symop_operation_xyz
'x,y,z'
loop_
_atom_site_label
_atom_site_type_symbol
_atom_site_fract_x
_atom_site_fract_y
_atom_site_fract_z
_atom_site_occupancy
Ac1 Ac 0.000 0.000 0.000 1
Ac2 Ac 0.000 0.000 0.500 1
Ac3 Ac 0.015 0.985 0.750 1
Ac4 Ac 0.323 0.677 0.094 1
Ac5 Ac 0.323 0.677 0.406 1
Ac6 Ac 0.347 0.653 0.681 1
Ac7 Ac 0.347 0.653 0.819 1
Ac8 Ac 0.653 0.347 0.181 1
Ac9 Ac 0.653 0.347 0.319 1
Ac10 Ac 0.677 0.323 0.594 1
Ac11 Ac 0.677 0.323 0.906 1
Ac12 Ac 0.985 0.015 0.250 1
Sm1 Sm 0.320 0.680 0.250 1
Sm2 Sm 0.680 0.320 0.750 1
Y1 Y 0.014 0.986 0.625 1
Y2 Y 0.014 0.986 0.875 1
Y3 Y 0.338 0.662 0.547 1
Y4 Y 0.338 0.662 0.953 1
Y5 Y 0.662 0.338 0.047 1
Y6 Y 0.662 0.338 0.453 1
Y7 Y 0.986 0.014 0.125 1
Y8 Y 0.986 0.014 0.375 1
```

Largest 10 diffraction maxima, by angle, 2θ from 5° to 70°:
two_theta	d (Å)	Rel. int.
21.30	4.172	153
28.33	3.150	605
28.46	3.136	368
29.41	3.037	543
29.80	2.998	1000
31.04	2.881	422
41.39	2.181	272
52.16	1.754	154
52.42	1.746	211
53.17	1.723	181

=====

[11]
Starting from a crystal structure in Alexandria, relaxed with PBE, the PXRD pattern of ScUNi4 was calculated for Cu Ka.
Neutral-atom scattering factors, no anomalous dispersion.

Structural model:
```
data_ScUNi4
_cell_length_a 4.954
_cell_length_b 4.954
_cell_length_c 4.954
_cell_angle_alpha 60.00
_cell_angle_beta 60.00
_cell_angle_gamma 60.00
_space_group_name_H-M_alt 'P 1'
_space_group_IT_number 1
loop_
_space_group_symop_operation_xyz
'x,y,z'
loop_
_atom_site_label
_atom_site_type_symbol
_atom_site_fract_x
_atom_site_fract_y
_atom_site_fract_z
_atom_site_occupancy
Sc1 Sc 0.000 0.000 0.000 1
U1 U 0.250 0.250 0.250 1
Ni1 Ni 0.124 0.625 0.625 1
Ni2 Ni 0.625 0.124 0.625 1
Ni3 Ni 0.625 0.625 0.124 1
Ni4 Ni 0.625 0.625 0.625 1
```

Largest 9 diffraction maxima, by angle, 2θ from 5° to 70°:
two_theta	d (Å)	Rel. int.
21.98	4.045	296
25.43	3.503	268
36.27	2.477	487
42.81	2.112	1000
44.82	2.022	244
57.33	1.607	81
58.96	1.567	115
65.24	1.430	180
69.75	1.348	312

=====

[12]
Starting from a crystal structure in Alexandria, relaxed with PBE, the PXRD pattern of Ca2In12Ag was calculated for Cu Ka.
Neutral-atom scattering factors, no anomalous dispersion.

Structural model:
```
data_Ca2In12Ag
_cell_length_a 6.914
_cell_length_b 6.914
_cell_length_c 17.475
_cell_angle_alpha 90.00
_cell_angle_beta 90.00
_cell_angle_gamma 90.00
_space_group_name_H-M_alt 'P 1'
_space_group_IT_number 1
loop_
_space_group_symop_operation_xyz
'x,y,z'
loop_
_atom_site_label
_atom_site_type_symbol
_atom_site_fract_x
_atom_site_fract_y
_atom_site_fract_z
_atom_site_occupancy
Ca1 Ca 0.250 0.750 0.244 1
Ca2 Ca 0.250 0.750 0.756 1
Ca3 Ca 0.750 0.250 0.244 1
Ca4 Ca 0.750 0.250 0.756 1
In1 In 0.000 0.000 0.089 1
In2 In 0.000 0.000 0.911 1
In3 In 0.000 0.500 0.089 1
In4 In 0.000 0.500 0.911 1
In5 In 0.087 0.587 0.430 1
In6 In 0.087 0.913 0.570 1
In7 In 0.250 0.250 0.186 1
In8 In 0.250 0.250 0.345 1
In9 In 0.250 0.250 0.655 1
In10 In 0.250 0.250 0.814 1
In11 In 0.413 0.587 0.570 1
In12 In 0.413 0.913 0.430 1
In13 In 0.500 0.000 0.089 1
In14 In 0.500 0.000 0.911 1
In15 In 0.500 0.500 0.089 1
In16 In 0.500 0.500 0.911 1
In17 In 0.587 0.087 0.570 1
In18 In 0.587 0.413 0.430 1
In19 In 0.750 0.750 0.186 1
In20 In 0.750 0.750 0.345 1
In21 In 0.750 0.750 0.655 1
In22 In 0.750 0.750 0.814 1
In23 In 0.913 0.087 0.430 1
In24 In 0.913 0.413 0.570 1
Ag1 Ag 0.250 0.750 0.000 1
Ag2 Ag 0.750 0.250 0.000 1
```

Largest 10 diffraction maxima, by angle, 2θ from 5° to 70°:
two_theta	d (Å)	Rel. int.
10.12	8.738	390
20.82	4.266	509
27.38	3.258	263
27.75	3.214	645
30.68	2.914	316
32.79	2.731	307
36.56	2.458	368
36.77	2.444	726
40.51	2.227	1000
68.76	1.365	281